Structure and theoretical powder diffraction line list of CePr12In6 (the GGA-PBE geometry in Alexandria; copper Kα).
Peak positions follow from Bragg's law for the DFT cell and can differ from measured ones.

The 12 most intense peaks (2θ from 10° to 90°), sorted by position:
23.53 deg, I 17; 25.82 deg, I 17; 31.70 deg, I 95; 31.78 deg, I 58; 33.52 deg, I 100; 35.18 deg, I 21; 48.17 deg, I 10; 49.44 deg, I 10; 55.32 deg, I 20; 55.47 deg, I 12; 56.52 deg, I 15; 58.87 deg, I 18

Structural model:
a b c (Å): 8.457 8.457 8.457
angles (deg): 89.84 89.84 89.84
Sites, in units of the cell vectors:
Ce1 0.000 0.000 0.000
Pr1 0.070 0.380 0.121
Pr2 0.121 0.070 0.380
Pr3 0.192 0.566 0.468
Pr4 0.380 0.121 0.070
Pr5 0.434 0.532 0.808
Pr6 0.468 0.192 0.566
Pr7 0.532 0.808 0.434
Pr8 0.566 0.468 0.192
Pr9 0.620 0.879 0.930
Pr10 0.808 0.434 0.532
Pr11 0.879 0.930 0.620
Pr12 0.930 0.620 0.879
In1 0.122 0.274 0.741
In2 0.259 0.878 0.726
In3 0.274 0.741 0.122
In4 0.726 0.259 0.878
In5 0.741 0.122 0.274
In6 0.878 0.726 0.259



Structure and theoretical powder diffraction line list of CePr8In5 (the GGA-PBE geometry in Alexandria; copper Kα).
Peak positions follow from Bragg's law for the DFT cell and can differ from measured ones.

The 12 most intense peaks (2θ from 10° to 90°), sorted by position:
22.47 deg, I 6; 29.14 deg, I 100; 34.63 deg, I 74; 41.68 deg, I 11; 43.82 deg, I 8; 45.88 deg, I 19; 47.86 deg, I 20; 58.69 deg, I 18; 58.81 deg, I 9; 60.36 deg, I 9; 62.04 deg, I 10; 71.49 deg, I 7

Structural model:
a b c (Å): 8.393 8.393 8.393
angles (deg): 109.40 109.40 109.62
Sites, in units of the cell vectors:
Ce1 0.000 0.000 0.000
Pr1 0.027 0.285 0.409
Pr2 0.230 0.128 0.745
Pr3 0.382 0.973 0.258
Pr4 0.383 0.485 0.255
Pr5 0.515 0.770 0.898
Pr6 0.715 0.125 0.742
Pr7 0.872 0.617 0.102
Pr8 0.875 0.618 0.591
In1 0.120 0.500 0.881
In2 0.250 0.750 0.500
In3 0.500 0.381 0.619
In4 0.619 0.238 0.119
In5 0.762 0.880 0.381



Structure and theoretical powder diffraction line list of Ce3InPt (the GGA-PBE geometry in Alexandria; copper Kα).
Peak positions follow from Bragg's law for the DFT cell and can differ from measured ones.

The 12 most intense peaks (2θ from 10° to 90°), sorted by position:
18.83 deg, I 16; 32.63 deg, I 100; 32.77 deg, I 13; 34.21 deg, I 16; 34.84 deg, I 15; 36.31 deg, I 40; 39.45 deg, I 16; 41.19 deg, I 36; 52.60 deg, I 19; 63.02 deg, I 16; 65.58 deg, I 14; 66.20 deg, I 12

Structural model:
a b c (Å): 15.547 15.547 4.948
angles (deg): 90.00 90.00 167.15
Sites, in units of the cell vectors:
Ce1 0.029 0.971 0.750
Ce2 0.122 0.878 0.750
Ce3 0.208 0.792 0.250
Ce4 0.792 0.208 0.750
Ce5 0.878 0.122 0.250
Ce6 0.971 0.029 0.250
In1 0.428 0.572 0.750
In2 0.572 0.428 0.250
Pt1 0.302 0.698 0.250
Pt2 0.698 0.302 0.750



Structure and theoretical powder diffraction line list of Ce3In2Pt3 (the GGA-PBE geometry in Alexandria; copper Kα).
Peak positions follow from Bragg's law for the DFT cell and can differ from measured ones.

The 12 most intense peaks (2θ from 10° to 90°), sorted by position:
33.82 deg, I 22; 35.14 deg, I 100; 36.43 deg, I 24; 40.11 deg, I 6; 50.55 deg, I 24; 61.36 deg, I 11; 62.20 deg, I 8; 63.89 deg, I 10; 64.73 deg, I 17; 70.01 deg, I 6; 74.28 deg, I 9; 84.91 deg, I 13

Structural model:
a b c (Å): 11.034 11.034 11.034
angles (deg): 161.16 154.17 32.17
Sites, in units of the cell vectors:
Ce1 0.000 0.000 0.000
Ce2 0.379 0.879 0.500
Ce3 0.621 0.121 0.500
In1 0.230 0.230 0.000
In2 0.770 0.770 0.000
Pt1 0.114 0.614 0.500
Pt2 0.500 0.500 0.000
Pt3 0.886 0.386 0.500



Structure and theoretical powder diffraction line list of Ce6In2Pt (the GGA-PBE geometry in Alexandria; copper Kα).
Peak positions follow from Bragg's law for the DFT cell and can differ from measured ones.

The 12 most intense peaks (2θ from 10° to 90°), sorted by position:
11.48 deg, I 22; 30.68 deg, I 55; 32.00 deg, I 100; 34.10 deg, I 88; 34.91 deg, I 83; 39.82 deg, I 54; 50.79 deg, I 19; 58.12 deg, I 51; 60.51 deg, I 16; 63.11 deg, I 30; 65.91 deg, I 13; 73.25 deg, I 12

Structural model:
a b c (Å): 3.596 8.900 8.900
angles (deg): 119.94 90.00 90.00
Sites, in units of the cell vectors:
Ce1 0.000 0.000 0.000
Ce2 0.000 0.484 0.742
Ce3 0.000 0.742 0.484
Ce4 0.500 0.130 0.742
Ce5 0.500 0.356 0.356
Ce6 0.500 0.742 0.130
In1 0.000 0.076 0.409
In2 0.000 0.409 0.076
Pt1 0.500 0.742 0.742



Structure and theoretical powder diffraction line list of CeIn4Pt2 (the GGA-PBE geometry in Alexandria; copper Kα).
Peak positions follow from Bragg's law for the DFT cell and can differ from measured ones.

The 12 most intense peaks (2θ from 10° to 90°), sorted by position:
31.68 deg, I 15; 32.79 deg, I 100; 33.40 deg, I 68; 35.00 deg, I 21; 36.00 deg, I 31; 39.43 deg, I 58; 39.75 deg, I 18; 43.10 deg, I 69; 43.72 deg, I 15; 54.45 deg, I 19; 67.32 deg, I 13; 89.49 deg, I 16

Structural model:
a b c (Å): 18.577 4.571 7.321
angles (deg): 90.00 90.00 90.00
Sites, in units of the cell vectors:
Ce1 0.140 0.250 0.036
Ce2 0.360 0.750 0.536
Ce3 0.640 0.250 0.464
Ce4 0.860 0.750 0.964
In1 0.035 0.750 0.852
In2 0.070 0.250 0.498
In3 0.186 0.750 0.335
In4 0.191 0.750 0.745
In5 0.309 0.250 0.245
In6 0.314 0.250 0.835
In7 0.430 0.750 0.998
In8 0.465 0.250 0.352
In9 0.535 0.750 0.648
In10 0.570 0.250 0.002
In11 0.686 0.750 0.165
In12 0.691 0.750 0.755
In13 0.809 0.250 0.255
In14 0.814 0.250 0.665
In15 0.930 0.750 0.502
In16 0.965 0.250 0.148
Pt1 0.041 0.750 0.243
Pt2 0.219 0.250 0.543
Pt3 0.281 0.750 0.043
Pt4 0.459 0.250 0.743
Pt5 0.541 0.750 0.257
Pt6 0.719 0.250 0.957
Pt7 0.781 0.750 0.457
Pt8 0.959 0.250 0.757